For Dy2Tm2Sb3, the PBE geometry in Alexandria gives the simulated powder diffraction line list in this record (Cu Ka).

Most intense lines, 2θ from 10° to 90°, low angle first:
2theta, intensity
31.0, 1000
36.8, 701
48.8, 193
51.0, 235
62.7, 250
64.5, 123
66.3, 149
76.7, 139

Structural model:
```
14
Lattice="-4.5676 4.5676 4.5676 4.5676 -4.5676 4.5676 4.5676 4.5676 -4.5676" Properties=species:S:1:pos:R:3 pbc="T T T"
Dy 2.9575 1.6101 -1.6101
Dy 1.6101 -1.6101 2.9575
Dy 1.6101 1.6101 1.6101
Dy -1.6101 2.9575 1.6101
Tm 5.2276 -0.6600 0.6600
Tm 0.6600 5.2276 -0.6600
Tm -0.6600 0.6600 5.2276
Tm 3.9075 3.9075 3.9075
Sb 4.5676 -2.2838 3.4073
Sb 3.4073 4.5676 -2.2838
Sb 4.5676 2.2838 1.1603
Sb 2.2838 1.1603 4.5676
Sb 1.1603 4.5676 2.2838
Sb -2.2838 3.4073 4.5676
```